Record 1
Starting from a crystal structure in Alexandria, relaxed with PBE, the XRD peak list of PtSe2 was computed for Cu Kα.
Kinematic intensities with the Lorentz-polarization factor, no thermal factor.

Lattice parameters (Å, degrees): 11.3737 3.7919 6.1244 90.00 90.00 90.00
Space group Pnma (No. 62)
Unique sites:
Pt 0.1374 0.2500 0.0834 (multiplicity 4)
Se 0.0093 0.7500 0.2289 (multiplicity 4)
Se 0.2294 0.2500 0.4643 (multiplicity 4)

Peak list (10 most intense, 10 to 90 degrees two-theta, in order of rising 2θ)
(hkl), 2theta, d [Å], I/Imax
1 0 1, 16.44, 5.392, 100
2 0 1, 21.32, 4.167, 56
2 1 0, 28.29, 3.155, 95
2 1 1, 31.91, 2.805, 43
2 0 2, 33.23, 2.696, 40
3 1 1, 36.59, 2.456, 59
4 1 1, 42.39, 2.132, 45
0 2 0, 47.99, 1.896, 37
5 1 1, 49.01, 1.859, 50
0 1 3, 50.79, 1.798, 47


Record 2
Starting from a crystal structure in Alexandria, relaxed with PBE, the XRD peak list of Sm4PtSe3 was computed for Cu Kα.
Kinematic intensities with the Lorentz-polarization factor, no thermal factor.

Lattice parameters (Å, degrees): 8.4878 11.9263 4.1164 90.00 90.00 90.00
Space group Cmmm (No. 65)
Unique sites:
Sm 0.0000 0.2474 0.0000 (multiplicity 4)
Sm 0.2360 0.0000 0.5000 (multiplicity 4)
Pt 0.0000 0.0000 0.0000 (multiplicity 2)
Se 0.0000 0.5000 0.0000 (multiplicity 2)
Se 0.2500 0.2500 0.5000 (multiplicity 4)

Peak list (10 most intense, 10 to 90 degrees two-theta, in order of rising 2θ)
(hkl), 2theta, d [Å], I/Imax
0 4 0, 29.97, 2.982, 52
2 0 1, 30.25, 2.955, 100
4 0 0, 42.61, 2.122, 19
2 4 1, 43.10, 2.099, 76
0 0 2, 43.99, 2.058, 18
4 4 0, 52.96, 1.729, 20
0 4 2, 54.15, 1.694, 20
2 8 1, 70.79, 1.331, 17
4 4 2, 71.23, 1.324, 17
4 8 0, 78.36, 1.220, 19


Record 3
Starting from a crystal structure in Alexandria, relaxed with PBE, the XRD peak list of TePtSe was computed for Cu Kα.
Kinematic intensities with the Lorentz-polarization factor, no thermal factor.

Lattice parameters (Å, degrees): 3.9526 3.9526 5.1903 90.00 90.00 120.00
Space group P3m1 (No. 156)
Unique sites:
Te 0.0000 0.0000 0.0000 (multiplicity 1)
Pt 0.6667 0.3333 0.2684 (multiplicity 1)
Se 0.3333 0.6667 0.5120 (multiplicity 1)

Peak list (10 most intense, 10 to 90 degrees two-theta, in order of rising 2θ)
(hkl), 2theta, d [Å], I/Imax
0 0 1, 17.08, 5.190, 35
1 0 1, 31.30, 2.858, 100
0 1 2, 43.77, 2.068, 49
1 1 0, 45.92, 1.976, 39
1 1 1, 49.34, 1.847, 14
0 2 1, 56.63, 1.625, 19
0 1 3, 59.90, 1.544, 14
2 0 2, 65.31, 1.429, 15
2 1 1, 75.77, 1.255, 16
1 2 2, 83.49, 1.158, 16


Record 4
Starting from a crystal structure in Alexandria, relaxed with PBE, the XRD peak list of Y8Te3Pt3Se was computed for Cu Kα.
Kinematic intensities with the Lorentz-polarization factor, no thermal factor.

Lattice parameters (Å, degrees): 8.3337 8.3337 21.2885 90.00 90.00 120.00
Space group R-3m (No. 166, hexagonal axes)
Unique sites:
Y 0.0000 0.0000 0.2369 (multiplicity 6)
Y 0.0166 0.5083 0.7591 (multiplicity 18)
Te 0.0000 0.5000 0.0000 (multiplicity 9)
Pt 0.0000 0.5000 0.5000 (multiplicity 9)
Se 0.0000 0.0000 0.5000 (multiplicity 3)

Peak list (10 most intense, 10 to 90 degrees two-theta, in order of rising 2θ)
(hkl), 2theta, d [Å], I/Imax
0 0 3, 12.47, 7.096, 15
0 1 2, 14.83, 5.974, 10
0 2 4, 29.92, 2.987, 100
2 0 8, 42.20, 2.142, 36
2 2 0, 43.43, 2.083, 36
4 0 4, 53.64, 1.709, 19
0 4 8, 62.16, 1.493, 11
2 2 12, 69.61, 1.351, 14
2 4 4, 71.40, 1.321, 17
4 2 8, 78.86, 1.214, 11


Record 5
Starting from a crystal structure in Alexandria, relaxed with PBE, the XRD peak list of TlPtSe was computed for Cu Kα.
Kinematic intensities with the Lorentz-polarization factor, no thermal factor.

Lattice parameters (Å, degrees): 10.1655 5.9433 5.6509 90.00 123.54 90.00
Space group C2/c (No. 15)
Unique sites:
Tl 0.2500 0.2500 0.0000 (multiplicity 4)
Pt 0.0000 0.0000 0.0000 (multiplicity 4)
Se 0.0000 0.3378 0.2500 (multiplicity 4)

Peak list (10 most intense, 10 to 90 degrees two-theta, in order of rising 2θ)
(hkl), 2theta, d [Å], I/Imax
1 1 0, 18.23, 4.866, 53
1 1 -1, 21.70, 4.095, 27
1 1 1, 30.36, 2.944, 100
3 1 -2, 36.78, 2.443, 46
2 2 0, 36.95, 2.433, 52
0 0 2, 38.22, 2.355, 18
4 0 -2, 38.36, 2.346, 18
4 0 0, 42.69, 2.118, 31
2 2 -2, 44.23, 2.048, 46
0 4 2, 75.73, 1.256, 20


Record 6
Starting from a crystal structure in Alexandria, relaxed with PBE, the XRD peak list of Tl2Pt3Se2 was computed for Cu Kα.
Kinematic intensities with the Lorentz-polarization factor, no thermal factor.

Lattice parameters (Å, degrees): 5.8669 5.8669 16.2080 90.00 90.00 120.00
Space group R-3m (No. 166, hexagonal axes)
Unique sites:
Tl 0.0000 0.0000 0.0000 (multiplicity 3)
Tl 0.0000 0.0000 0.5000 (multiplicity 3)
Pt 0.0000 0.5000 0.0000 (multiplicity 9)
Se 0.0000 0.0000 0.2209 (multiplicity 6)

Peak list (10 most intense, 10 to 90 degrees two-theta, in order of rising 2θ)
(hkl), 2theta, d [Å], I/Imax
0 0 3, 16.41, 5.403, 69
1 1 0, 30.47, 2.933, 27
0 0 6, 33.16, 2.701, 43
0 2 1, 35.78, 2.510, 47
2 0 2, 37.09, 2.424, 80
0 2 4, 41.98, 2.152, 100
2 0 5, 45.36, 2.000, 33
2 0 8, 58.25, 1.584, 32
2 2 0, 63.42, 1.467, 32
2 2 6, 73.47, 1.289, 27